(1)
For HfBeCoB, the PBE geometry in OQMD gives the theoretical powder diffraction line list in this record (Cu Kα (λ = 1.5418 Å)).
Neutral-atom scattering factors, no anomalous dispersion.

Cell and atoms:
Lattice parameters (Å, degrees): 5.569 5.569 5.569 90.00 90.00 90.00
Space group F-43m (No. 216)
Unique sites:
Hf (0.000, 0.000, 0.000) [4 per cell]
Be (0.250, 0.250, 0.750) [4 per cell]
Co (0.000, 0.000, 0.500) [4 per cell]
B (0.250, 0.250, 0.250) [4 per cell]

Most intense lines, 10° ≤ 2θ ≤ 90°, low angle first:
(1 1 1), 2θ = 27.75°, intensity 49
(2 0 0), 2θ = 32.15°, intensity 100
(2 2 0), 2θ = 46.10°, intensity 92
(3 1 1), 2θ = 54.66°, intensity 24
(2 2 2), 2θ = 57.31°, intensity 26
(4 0 0), 2θ = 67.25°, intensity 15
(3 3 1), 2θ = 74.23°, intensity 10
(4 2 0), 2θ = 76.50°, intensity 33
(4 2 2), 2θ = 85.41°, intensity 31

---

(2)
For Cs3Rb2AgSb2, the PBE geometry in OQMD gives the theoretical powder diffraction line list in this record (Cu Kα (λ = 1.5418 Å)).
Neutral-atom scattering factors, no anomalous dispersion.

Cell and atoms:
Lattice parameters (Å, degrees): 6.4010 6.4010 30.1122 90.00 90.00 120.00
Space group R-3m (No. 166, hexagonal axes)
Unique sites:
Cs (0.0000, 0.0000, 0.0000) [3 per cell]
Cs (0.0000, 0.0000, 0.1353) [6 per cell]
Rb (0.0000, 0.0000, 0.2837) [6 per cell]
Ag (0.0000, 0.0000, 0.5000) [3 per cell]
Sb (0.0000, 0.0000, 0.4097) [6 per cell]

Most intense lines, 10° ≤ 2θ ≤ 90°, low angle first:
(1 0 7), 2θ = 26.22°, intensity 50
(1 1 0), 2θ = 27.88°, intensity 100
(0 1 8), 2θ = 28.67°, intensity 18
(0 2 7), 2θ = 38.64°, intensity 17
(0 1 14), 2θ = 45.21°, intensity 13
(2 1 7), 2θ = 48.32°, intensity 18
(3 0 0), 2θ = 49.32°, intensity 20
(2 0 14), 2θ = 53.94°, intensity 13
(2 2 0), 2θ = 57.60°, intensity 13
(4 1 0), 2θ = 79.18°, intensity 10

---

(3)
For DyHoEr2Ga2, the PBE geometry in OQMD gives the theoretical powder diffraction line list in this record (Cu Kα (λ = 1.5418 Å)).
Neutral-atom scattering factors, no anomalous dispersion.

Cell and atoms:
Lattice parameters (Å, degrees): 5.1316 5.1316 6.5467 90.00 90.00 120.00
Space group P-6m2 (No. 187)
Unique sites:
Dy (0.0000, 0.0000, 0.0000) [1 per cell]
Ho (0.6667, 0.3333, 0.5000) [1 per cell]
Er (0.3333, 0.6667, 0.2506) [2 per cell]
Ga (0.0000, 0.0000, 0.5000) [1 per cell]
Ga (0.6667, 0.3333, 0.0000) [1 per cell]

Most intense lines, 10° ≤ 2θ ≤ 90°, low angle first:
(1 0 1), 2θ = 24.21°, intensity 17
(1 0 2), 2θ = 34.02°, intensity 100
(1 1 0), 2θ = 34.97°, intensity 93
(2 0 2), 2θ = 49.58°, intensity 35
(2 1 2), 2θ = 62.11°, intensity 35
(3 0 0), 2θ = 62.72°, intensity 17
(1 1 4), 2θ = 67.93°, intensity 27
(2 2 0), 2θ = 73.87°, intensity 11
(3 1 2), 2θ = 83.88°, intensity 15
(3 0 4), 2θ = 89.16°, intensity 13